Mo3WSe6S2: computed X-ray diffraction stick pattern (Cu Kα), based on DFT lattice parameters and positions (GGA-PBE).
Neutral-atom scattering factors, no anomalous dispersion.

The 10 most intense peaks (5° ≤ 2θ ≤ 70°), sorted by position:
- 2θ = 7.10°, intensity 611, hkl 0 0 3
- 2θ = 11.85°, intensity 1000, hkl 0 0 5
- 2θ = 14.24°, intensity 174, hkl 0 0 6
- 2θ = 31.43°, intensity 339, hkl 1 0 0
- 2θ = 33.69°, intensity 142, hkl 1 0 5
- 2θ = 36.99°, intensity 723, hkl 1 0 8
- 2θ = 39.82°, intensity 146, hkl 0 1 10
- 2θ = 44.83°, intensity 461, hkl 0 1 13
- 2θ = 46.67°, intensity 138, hkl 1 0 14
- 2θ = 55.95°, intensity 242, hkl 1 1 0

Structure:
```
data_Mo3WSe6S2
_cell_length_a 3.287
_cell_length_b 3.287
_cell_length_c 37.328
_cell_angle_alpha 90.00
_cell_angle_beta 90.00
_cell_angle_gamma 120.00
_space_group_name_H-M_alt 'P 1'
_space_group_IT_number 1
loop_
_space_group_symop_operation_xyz
'x,y,z'
loop_
_atom_site_label
_atom_site_type_symbol
_atom_site_fract_x
_atom_site_fract_y
_atom_site_fract_z
Mo1 Mo 0.000 0.000 0.000
Mo2 Mo 0.000 0.000 0.376
Mo3 Mo 0.333 0.667 0.188
W1 W 0.333 0.667 0.564
Se1 Se 0.000 0.000 0.143
Se2 Se 0.000 0.000 0.233
Se3 Se 0.000 0.000 0.518
Se4 Se 0.000 0.000 0.609
Se5 Se 0.333 0.667 0.045
Se6 Se 0.333 0.667 0.955
S1 S 0.333 0.667 0.335
S2 S 0.333 0.667 0.417
```

=====

Nb2N: computed X-ray diffraction stick pattern (Cu Kα), based on DFT lattice parameters and positions (GGA-PBE).
Neutral-atom scattering factors, no anomalous dispersion.

The 7 most intense peaks (5° ≤ 2θ ≤ 70°), sorted by position:
- 2θ = 26.21°, intensity 10, hkl 1 0 1
- 2θ = 33.50°, intensity 175, hkl 1 1 0
- 2θ = 35.89°, intensity 228, hkl 0 0 2
- 2θ = 38.14°, intensity 1000, hkl 2 -1 1
- 2θ = 49.90°, intensity 190, hkl 1 1 2
- 2θ = 59.88°, intensity 192, hkl 3 0 0
- 2θ = 66.00°, intensity 191, hkl 1 1 3

Structure:
```
data_Nb2N
_cell_length_a 5.350
_cell_length_b 5.350
_cell_length_c 5.005
_cell_angle_alpha 90.00
_cell_angle_beta 90.00
_cell_angle_gamma 120.00
_space_group_name_H-M_alt 'P 1'
_space_group_IT_number 1
loop_
_space_group_symop_operation_xyz
'x,y,z'
loop_
_atom_site_label
_atom_site_type_symbol
_atom_site_fract_x
_atom_site_fract_y
_atom_site_fract_z
Nb1 Nb 0.000 0.333 0.251
Nb2 Nb 0.000 0.667 0.749
Nb3 Nb 0.333 0.000 0.251
Nb4 Nb 0.333 0.333 0.749
Nb5 Nb 0.667 0.000 0.749
Nb6 Nb 0.667 0.667 0.251
N1 N 0.000 0.000 0.500
N2 N 0.333 0.667 0.000
N3 N 0.667 0.333 0.000
```